Structure and computed PXRD pattern of Zn2CoSbO6 (a crystal structure in Alexandria, relaxed with GGA+U; copper Kα).

Main lines, low angle first (2θ from 10° to 90°):
hkl  d/Å  two_theta  intensity
1 2 -1  2.679  33.4  100
0 0 2  2.645  33.9  24
2 0 0  2.629  34.1  23
0 4 0  1.925  47.2  14
2 0 -2  1.865  48.8  21
1 2 -3  1.534  60.4  19
3 2 -1  1.528  60.6  24
2 4 -2  1.340  70.3  12

Cell and atoms:
a b c (Å): 5.259 7.702 5.291
angles (deg): 90.00 90.03 90.00
Fractional coordinates of all 20 atoms:
1 Zn 0.011 0.250 0.049
2 Zn 0.476 0.750 0.482
3 Zn 0.524 0.250 0.518
4 Zn 0.989 0.750 0.951
5 Co 0.000 0.000 0.500
6 Co 0.000 0.500 0.500
7 Sb 0.500 0.000 0.000
8 Sb 0.500 0.500 0.000
9 O 0.109 0.750 0.583
10 O 0.179 0.066 0.825
11 O 0.179 0.434 0.825
12 O 0.331 0.066 0.321
13 O 0.331 0.434 0.321
14 O 0.370 0.750 0.081
15 O 0.630 0.250 0.919
16 O 0.669 0.566 0.679
17 O 0.669 0.934 0.679
18 O 0.821 0.566 0.175
19 O 0.821 0.934 0.175
20 O 0.891 0.250 0.417